1.
# ZrAl3
Theoretical X-ray diffraction stick pattern, CuKα. Input: a structure optimized by DFT (PBE).

Largest 10 diffraction maxima, by angle, 10° ≤ 2θ ≤ 80°:
2θ/deg	I (rel.)	(hkl)
20.49	17	0 0 4
22.72	31	1 0 1
27.03	12	1 0 3
34.16	15	1 0 5
37.86	100	1 1 4
41.68	18	0 0 8
45.13	30	2 0 0
63.10	21	2 0 8
73.55	12	1 1 12
78.44	23	3 1 4

a b c (Å): 4.018 4.018 17.336
angles (deg): 90.00 90.00 90.00
Space group I4/mmm (No. 139)
Unique sites:
Zr  0.000  0.000  0.119
Al  0.000  0.000  0.375
Al  0.000  0.500  0.000
Al  0.000  0.500  0.250

***

2.
# Zr4Al3
Theoretical X-ray diffraction stick pattern, CuKα. Input: a structure optimized by DFT (PBE).

Largest 10 diffraction maxima, by angle, 10° ≤ 2θ ≤ 80°:
2θ/deg	I (rel.)	(hkl)
16.36	19	0 0 1
32.83	98	1 1 0
36.89	59	1 1 1
38.09	16	2 0 0
38.30	100	1 0 2
41.71	23	2 0 1
51.32	18	2 0 2
58.61	18	3 0 0
62.27	46	2 1 2
68.83	19	2 2 0

a b c (Å): 5.4558 5.4558 5.4171
angles (deg): 90.00 90.00 120.00
Space group P6/mmm (No. 191)
Unique sites:
Zr  0.0000  0.0000  0.2425
Zr  0.3333  0.6667  0.0000
Al  0.0000  0.5000  0.5000

***

3.
# ZrAl3
Theoretical X-ray diffraction stick pattern, CuKα. Input: a structure optimized by DFT (PBE).

Largest 10 diffraction maxima, by angle, 10° ≤ 2θ ≤ 80°:
2θ/deg	I (rel.)	(hkl)
21.64	47	1 0 0
30.79	38	1 1 0
37.95	100	1 1 1
44.10	48	2 0 0
49.64	20	2 1 0
54.75	15	2 1 1
64.14	31	2 2 0
68.55	9	3 0 0
72.83	6	3 1 0
77.01	36	3 1 1

a b c (Å): 4.107 4.107 4.107
angles (deg): 90.00 90.00 90.00
Space group Pm-3m (No. 221)
Unique sites:
Zr  0.000  0.000  0.000
Al  0.000  0.500  0.500

***

4.
# Zr2Al3
Theoretical X-ray diffraction stick pattern, CuKα. Input: a structure optimized by DFT (PBE).

Largest 10 diffraction maxima, by angle, 10° ≤ 2θ ≤ 80°:
2θ/deg	I (rel.)	(hkl)
22.42	20	2 2 0
26.58	33	1 3 1
31.66	31	2 4 0
32.79	44	3 1 1
34.55	33	0 2 2
37.18	100	1 5 1
37.64	32	3 3 1
39.43	34	2 2 2
39.58	29	4 2 0
56.94	20	4 4 2

a b c (Å): 9.635 13.962 5.593
angles (deg): 90.00 90.00 90.00
Space group Fdd2 (No. 43)
Unique sites:
Zr  0.067  0.197  0.000
Al  0.000  0.000  0.135
Al  0.068  0.115  0.509

***

5.
# Zr3Al
Theoretical X-ray diffraction stick pattern, CuKα. Input: a structure optimized by DFT (PBE).

Largest 10 diffraction maxima, by angle, 10° ≤ 2θ ≤ 80°:
2θ/deg	I (rel.)	(hkl)
20.24	15	1 0 0
28.78	12	1 1 0
35.44	100	1 1 1
41.15	49	2 0 0
46.28	6	2 1 0
50.99	5	2 1 1
59.61	32	2 2 0
63.63	3	3 0 0
71.30	37	3 1 1
75.00	11	2 2 2

a b c (Å): 4.387 4.387 4.387
angles (deg): 90.00 90.00 90.00
Space group Pm-3m (No. 221)
Unique sites:
Zr  0.000  0.000  0.500
Al  0.500  0.500  0.500

***

6.
# ZrAl3
Theoretical X-ray diffraction stick pattern, CuKα. Input: a structure optimized by DFT (PBE).

Largest 10 diffraction maxima, by angle, 10° ≤ 2θ ≤ 80°:
2θ/deg	I (rel.)	(hkl)
19.68	19	0 0 2
24.52	45	1 0 1
31.92	11	1 1 0
37.53	15	1 0 3
37.78	100	1 1 2
39.97	21	0 0 4
45.77	29	2 0 0
62.35	22	2 0 4
71.14	15	1 1 6
79.30	22	3 1 2

a b c (Å): 3.965 3.965 9.023
angles (deg): 90.00 90.00 90.00
Space group I4/mmm (No. 139)
Unique sites:
Zr  0.000  0.000  0.000
Al  0.000  0.000  0.500
Al  0.000  0.500  0.250

***

7.
# Cs2AsAuBr6
Theoretical X-ray diffraction stick pattern, CuKα. Input: a structure optimized by DFT (PBE).

Largest 10 diffraction maxima, by angle, 10° ≤ 2θ ≤ 80°:
2θ/deg	I (rel.)	(hkl)
16.02	17	2 0 0
22.73	63	2 2 0
27.93	43	2 2 2
32.36	100	4 0 0
39.91	29	4 2 2
46.41	72	4 4 0
55.04	18	6 2 2
57.71	25	4 4 4
62.84	16	6 4 2
77.08	32	8 4 0

a b c (Å): 11.067 11.067 11.067
angles (deg): 90.00 90.00 90.00
Space group Fm-3m (No. 225)
Unique sites:
Cs  0.250  0.250  0.250
As  0.000  0.000  0.000
Au  0.000  0.000  0.500
Br  0.000  0.000  0.244